1.
This entry pairs a crystal structure of TbZn20Fe2 with its theoretical powder X-ray diffraction pattern. Radiation: a wavelength of 1.5418 Å. Structure: a PBE-relaxed structure.
No peak broadening, texture or thermal motion is included.

The 12 most intense peaks (15° ≤ 2θ ≤ 90°), sorted by position:
2θ/deg, I/Imax
38.0, 100
38.5, 14
40.7, 40
42.3, 67
42.8, 61
44.8, 15
46.3, 19
55.6, 28
66.4, 17
77.0, 36
78.0, 15
80.9, 18

Crystal structure
```
TbZn20Fe2
1.0
0.0000 7.0072 7.0072
7.0072 0.0000 7.0072
7.0072 7.0072 0.0000
Tb Zn Fe
2 40 4
Direct
0.1250 0.1250 0.1250
0.8750 0.8750 0.8750
0.0000 0.0000 0.0000
0.0000 0.0000 0.5000
0.0000 0.5000 0.0000
0.0561 0.3263 0.3263
0.0561 0.3263 0.7913
0.0561 0.7913 0.3263
0.2087 0.6737 0.6737
0.2087 0.6737 0.9439
0.2087 0.9439 0.6737
0.2393 0.2393 0.5107
0.2393 0.5107 0.2393
0.2393 0.5107 0.5107
0.3263 0.0561 0.3263
0.3263 0.0561 0.7913
0.3263 0.3263 0.0561
0.3263 0.3263 0.7913
0.3263 0.7913 0.0561
0.3263 0.7913 0.3263
0.4893 0.4893 0.7607
0.4893 0.7607 0.4893
0.4893 0.7607 0.7607
0.5000 0.0000 0.0000
0.5107 0.2393 0.2393
0.5107 0.2393 0.5107
0.5107 0.5107 0.2393
0.6737 0.2087 0.6737
0.6737 0.2087 0.9439
0.6737 0.6737 0.2087
0.6737 0.6737 0.9439
0.6737 0.9439 0.2087
0.6737 0.9439 0.6737
0.7607 0.4893 0.4893
0.7607 0.4893 0.7607
0.7607 0.7607 0.4893
0.7913 0.0561 0.3263
0.7913 0.3263 0.0561
0.7913 0.3263 0.3263
0.9439 0.2087 0.6737
0.9439 0.6737 0.2087
0.9439 0.6737 0.6737
0.0000 0.5000 0.5000
0.5000 0.0000 0.5000
0.5000 0.5000 0.0000
0.5000 0.5000 0.5000
```

=====

2.
This entry pairs a crystal structure of ZnFeTc2 with its theoretical powder X-ray diffraction pattern. Radiation: a wavelength of 1.5418 Å. Structure: a PBE-relaxed structure.
No peak broadening, texture or thermal motion is included.

The 7 most intense peaks (15° ≤ 2θ ≤ 90°), sorted by position:
2θ/deg, I/Imax
25.8, 6
42.8, 100
50.6, 3
62.1, 16
68.4, 1
78.3, 31
84.1, 1

Crystal structure
```
ZnFeTc2
1.0
0.0000 2.9905 2.9905
2.9905 0.0000 2.9905
2.9905 2.9905 0.0000
Zn Fe Tc
1 1 2
Direct
0.0000 0.0000 0.0000
0.7500 0.7500 0.7500
0.2500 0.2500 0.2500
0.5000 0.5000 0.5000
```

=====

3.
This entry pairs a crystal structure of FeTe3 with its theoretical powder X-ray diffraction pattern. Radiation: a wavelength of 1.5418 Å. Structure: a PBE-relaxed structure.
No peak broadening, texture or thermal motion is included.

The 12 most intense peaks (15° ≤ 2θ ≤ 90°), sorted by position:
2θ/deg, I/Imax
24.1, 56
27.6, 39
32.1, 55
34.9, 100
44.3, 13
44.7, 59
50.9, 13
60.5, 22
61.5, 17
65.8, 13
76.7, 15
87.7, 12

Crystal structure
```
FeTe3
1.0
8.5174 0.0000 0.0000
-4.2587 7.3763 0.0000
0.0000 0.0000 3.5886
Fe Te
2 6
Direct
0.3333 0.6667 0.2500
0.6667 0.3333 0.7500
0.2094 0.4188 0.7500
0.2094 0.7906 0.7500
0.4188 0.2094 0.2500
0.5812 0.7906 0.7500
0.7906 0.2094 0.2500
0.7906 0.5812 0.2500
```